Entry 1:
# Ce2Pu4As3N2
Calculated powder diffraction line list, Cu Kα (weighted mean of Kα1 and Kα2). Input: a structure optimized by DFT (PBE).
Lines closer than 0.1° are merged.

Peak list (10 most intense, 5 to 70 degrees two-theta, sorted by position)
| (hkl) | Position (°2θ) | I_rel |
| --- | --- | --- |
| 0 0 2 | 7.16 | 379 |
| 0 0 6 | 21.61 | 216 |
| 1 1 2 | 28.79 | 572 |
| 1 1 4 | 31.46 | 234 |
| 1 1 6 | 35.52 | 1000 |
| 2 0 0 | 39.79 | 518 |
| 1 1 12 | 52.90 | 187 |
| 2 2 0 | 57.53 | 178 |
| 2 2 8 | 65.63 | 188 |
| 3 1 6 | 69.47 | 295 |

Atomic structure:
abc: 4.5309 4.5309 24.6790
angles: 90.00 90.00 90.00
Space group I4/mmm (No. 139)
Asymmetric unit:
Ce: 0.0000 0.0000 0.1987
Pu: 0.0000 0.5000 0.0816
As: 0.0000 0.0000 0.3256
As: 0.0000 0.0000 0.5000
N: 0.0000 0.0000 0.1058



Entry 2:
# SrGaBO4
Calculated powder diffraction line list, Cu Kα (weighted mean of Kα1 and Kα2). Input: a structure optimized by DFT (PBE).
Lines closer than 0.1° are merged.

Peak list (10 most intense, 5 to 70 degrees two-theta, sorted by position)
| (hkl) | Position (°2θ) | I_rel |
| --- | --- | --- |
| 1 3 0 | 19.42 | 736 |
| 2 2 0 | 22.94 | 859 |
| 2 2 1 | 27.38 | 1000 |
| 1 5 0 | 29.68 | 858 |
| 2 4 0 | 30.09 | 361 |
| 1 1 2 | 31.95 | 708 |
| 1 3 2 | 35.77 | 445 |
| 4 2 0 | 42.32 | 383 |
| 4 0 2 | 51.25 | 394 |
| 3 5 2 | 51.97 | 705 |

Atomic structure:
abc: 8.8648 16.0024 6.0072
angles: 90.00 90.00 90.00
Space group Pccn (No. 56)
Asymmetric unit:
Sr: 0.1067 0.1548 0.0198
Ga: 0.2413 0.5519 0.2154
B: 0.0170 0.6431 0.9568
O: 0.0691 0.6182 0.1655
O: 0.0958 0.6248 0.7619
O: 0.1149 0.1878 0.5621
O: 0.2120 0.0109 0.9679



Entry 3:
# Th2TaP3Ir4
Calculated powder diffraction line list, Cu Kα (weighted mean of Kα1 and Kα2). Input: a structure optimized by DFT (PBE).
Lines closer than 0.1° are merged.

Peak list (10 most intense, 5 to 70 degrees two-theta, sorted by position)
| (hkl) | Position (°2θ) | I_rel |
| --- | --- | --- |
| 1 0 2 | 27.52 | 272 |
| 1 1 1 | 31.90 | 113 |
| 1 0 3 | 33.59 | 411 |
| 1 1 2 | 35.24 | 1000 |
| 2 0 0 | 43.98 | 484 |
| 1 1 4 | 46.56 | 127 |
| 1 0 5 | 48.63 | 227 |
| 2 1 3 | 56.45 | 191 |
| 2 2 0 | 63.95 | 161 |
| 2 1 5 | 67.64 | 172 |

Atomic structure:
abc: 4.1174 4.1174 10.5111
angles: 90.00 90.00 90.00
Space group P-4m2 (No. 115)
Asymmetric unit:
Th: 0.0000 0.5000 0.2349
Ta: 0.0000 0.0000 0.5000
P: 0.0000 0.5000 0.8660
P: 0.5000 0.5000 0.5000
Ir: 0.0000 0.0000 0.0000
Ir: 0.0000 0.5000 0.6399
Ir: 0.5000 0.5000 0.0000



Entry 4:
# TaSiBr4
Calculated powder diffraction line list, Cu Kα (weighted mean of Kα1 and Kα2). Input: a structure optimized by DFT (PBE).
Lines closer than 0.1° are merged.

Peak list (10 most intense, 5 to 70 degrees two-theta, sorted by position)
| (hkl) | Position (°2θ) | I_rel |
| --- | --- | --- |
| 1 1 1 | 18.09 | 184 |
| 2 0 0 | 20.92 | 177 |
| 2 2 0 | 29.75 | 307 |
| 3 1 1 | 35.04 | 1000 |
| 2 2 2 | 36.65 | 355 |
| 3 3 1 | 46.61 | 46 |
| 4 2 0 | 47.90 | 91 |
| 4 2 2 | 52.80 | 124 |
| 3 3 3 | 56.28 | 336 |
| 4 4 0 | 61.79 | 251 |

Atomic structure:
abc: 8.4938 8.4938 8.4938
angles: 90.00 90.00 90.00
Space group F-43m (No. 216)
Asymmetric unit:
Ta: 0.0000 0.0000 0.0000
Si: 0.2500 0.2500 0.2500
Br: 0.1256 0.1256 0.6256



Entry 5:
# SrMg2CdBr8
Calculated powder diffraction line list, Cu Kα (weighted mean of Kα1 and Kα2). Input: a structure optimized by DFT (PBE).
Lines closer than 0.1° are merged.

Peak list (10 most intense, 5 to 70 degrees two-theta, sorted by position)
| (hkl) | Position (°2θ) | I_rel |
| --- | --- | --- |
| 1 0 -1 | 18.64 | 281 |
| 1 2 -1 | 28.54 | 240 |
| 1 2 1 | 28.74 | 1000 |
| 1 0 -2 | 29.32 | 489 |
| 2 2 -1 | 37.26 | 423 |
| 2 2 1 | 37.58 | 211 |
| 2 0 2 | 38.43 | 181 |
| 0 4 0 | 43.62 | 223 |
| 0 2 3 | 45.45 | 401 |
| 1 4 -2 | 53.43 | 193 |

Atomic structure:
abc: 6.5374 8.3008 6.8284
angles: 90.00 90.90 90.00
Space group P2/m (No. 10)
Asymmetric unit:
Sr: 0.0000 0.0000 0.0000
Mg: 0.5000 0.2580 0.5000
Cd: 0.0000 0.5000 0.0000
Br: 0.2500 0.2679 0.1733
Br: 0.2744 0.5000 0.6551
Br: 0.2884 0.0000 0.6466



Entry 6:
# Cs3Sn4Pt
Calculated powder diffraction line list, Cu Kα (weighted mean of Kα1 and Kα2). Input: a structure optimized by DFT (PBE).
Lines closer than 0.1° are merged.

Peak list (10 most intense, 5 to 70 degrees two-theta, sorted by position)
| (hkl) | Position (°2θ) | I_rel |
| --- | --- | --- |
| 0 2 0 | 12.27 | 702 |
| 1 1 0 | 12.96 | 875 |
| 2 0 0 | 22.94 | 580 |
| 0 4 0 | 24.69 | 411 |
| 2 2 1 | 29.85 | 1000 |
| 1 4 1 | 30.91 | 946 |
| 2 3 1 | 32.99 | 448 |
| 3 4 1 | 45.56 | 539 |
| 1 1 3 | 45.69 | 378 |
| 4 0 0 | 46.84 | 396 |

Atomic structure:
abc: 7.7526 14.4234 6.2226
angles: 90.00 90.00 90.00
Space group Pmmn (No. 59, origin choice 2)
Asymmetric unit:
Cs: 0.2500 0.0155 0.1515
Cs: 0.2500 0.2500 0.5435
Sn: 0.0448 0.7500 0.9616
Sn: 0.2500 0.6352 0.6513
Pt: 0.2500 0.7500 0.3141



Entry 7:
# Zr2AlRu
Calculated powder diffraction line list, Cu Kα (weighted mean of Kα1 and Kα2). Input: a structure optimized by DFT (PBE).
Lines closer than 0.1° are merged.

Peak list (10 most intense, 5 to 70 degrees two-theta, sorted by position)
| (hkl) | Position (°2θ) | I_rel |
| --- | --- | --- |
| 0 0 1 | 16.90 | 156 |
| 0 0 2 | 34.18 | 233 |
| 1 1 0 | 34.94 | 1000 |
| 1 0 -2 | 37.20 | 297 |
| 0 1 2 | 40.17 | 369 |
| 0 2 0 | 41.62 | 291 |
| 1 1 1 | 42.83 | 322 |
| 2 0 -1 | 54.92 | 243 |
| 1 1 2 | 55.90 | 115 |
| 1 2 -2 | 57.04 | 166 |

Atomic structure:
abc: 3.3435 4.3396 5.5050
angles: 90.00 107.63 90.00
Space group Pm (No. 6)
Asymmetric unit:
Zr: 0.0000 0.0000 0.0000
Zr: 0.3078 0.5000 0.6163
Al: 0.5876 0.5000 0.1746
Ru: 0.7459 0.0000 0.4883



> Which formula does entry 4 have?

TaSiBr4